No. 1
TlBiRu2: theoretical powder diffraction line list (CuKα), based on a cell relaxed with GGA-PBE.

Peak list (6 most intense, 5 to 70 degrees two-theta, in order of rising 2θ)
- 2θ 26.71, I = 12.9, hkl 2 0 0
- 2θ 38.14, I = 100.0, hkl 2 2 0
- 2θ 47.17, I = 4.1, hkl 2 2 2
- 2θ 55.03, I = 17.4, hkl 4 0 0
- 2θ 62.20, I = 5.7, hkl 4 2 0
- 2θ 68.92, I = 35.6, hkl 4 2 2

Cell and atoms:
```
data_TlBiRu2
_chemical_formula_sum 'Tl4 Bi4 Ru8'
_cell_length_a 6.6746
_cell_length_b 6.6746
_cell_length_c 6.6746
_cell_angle_alpha 90.00
_cell_angle_beta 90.00
_cell_angle_gamma 90.00
_space_group_name_H-M_alt 'F m -3 m'
_space_group_IT_number 225
_space_group_name_Hall '-F 4 2 3'
loop_
_atom_site_label
_atom_site_type_symbol
_atom_site_fract_x
_atom_site_fract_y
_atom_site_fract_z
Tl1 Tl 0.0000 0.0000 0.0000
Bi1 Bi 0.0000 0.0000 0.5000
Ru1 Ru 0.2500 0.2500 0.2500
```



No. 2
YBi2Ru2: theoretical powder diffraction line list (CuKα), based on a cell relaxed with GGA-PBE.

Peak list (10 most intense, 5 to 70 degrees two-theta, in order of rising 2θ)
- 2θ 18.84, I = 36.7, hkl 0 0 2
- 2θ 31.77, I = 100.0, hkl 1 1 2
- 2θ 33.76, I = 20.0, hkl 1 0 3
- 2θ 36.15, I = 72.0, hkl 2 0 0
- 2θ 41.07, I = 21.9, hkl 2 0 2
- 2θ 46.41, I = 40.0, hkl 1 1 4
- 2θ 50.29, I = 12.6, hkl 2 1 3
- 2θ 52.05, I = 25.5, hkl 2 2 0
- 2θ 62.28, I = 30.0, hkl 3 1 2
- 2θ 65.07, I = 14.2, hkl 1 1 6

Cell and atoms:
```
data_YBi2Ru2
_chemical_formula_sum 'Y2 Bi4 Ru4'
_cell_length_a 4.9699
_cell_length_b 4.9699
_cell_length_c 9.4206
_cell_angle_alpha 90.00
_cell_angle_beta 90.00
_cell_angle_gamma 90.00
_space_group_name_H-M_alt 'I 4/m m m'
_space_group_IT_number 139
_space_group_name_Hall '-I 4 2'
loop_
_atom_site_label
_atom_site_type_symbol
_atom_site_fract_x
_atom_site_fract_y
_atom_site_fract_z
Y1 Y 0.0000 0.0000 0.0000
Bi1 Bi 0.0000 0.5000 0.2500
Ru1 Ru 0.0000 0.0000 0.3732
```



No. 3
Bi5S7: theoretical powder diffraction line list (CuKα), based on a cell relaxed with GGA-PBE.

Peak list (10 most intense, 5 to 70 degrees two-theta, in order of rising 2θ)
- 2θ 23.11, I = 100.0, hkl 2 0 2
- 2θ 23.36, I = 97.0, hkl 2 0 -3
- 2θ 24.50, I = 50.4, hkl 1 1 1
- 2θ 26.32, I = 47.3, hkl 1 1 -2
- 2θ 26.61, I = 49.2, hkl 4 0 -1
- 2θ 29.57, I = 68.5, hkl 3 1 -1
- 2θ 31.12, I = 51.8, hkl 3 1 -2
- 2θ 32.37, I = 58.5, hkl 3 1 1
- 2θ 39.99, I = 53.9, hkl 1 1 4
- 2θ 44.77, I = 42.5, hkl 6 0 1

Cell and atoms:
```
data_Bi5S7
_chemical_formula_sum 'Bi10 S14'
_cell_length_a 13.3993
_cell_length_b 4.1218
_cell_length_c 12.0918
_cell_angle_alpha 90.00
_cell_angle_beta 105.40
_cell_angle_gamma 90.00
_space_group_name_H-M_alt 'C 1 2/m 1'
_space_group_IT_number 12
_space_group_name_Hall '-C 2y'
loop_
_atom_site_label
_atom_site_type_symbol
_atom_site_fract_x
_atom_site_fract_y
_atom_site_fract_z
Bi1 Bi 0.0000 0.0000 0.0000
Bi2 Bi 0.1203 0.0000 0.4348
Bi3 Bi 0.1868 0.5000 0.8279
S1 S 0.0000 0.5000 0.5000
S2 S 0.0469 0.0000 0.7861
S3 S 0.1564 0.5000 0.0439
S4 S 0.2333 0.5000 0.3589
```



No. 4
Bi2S13: theoretical powder diffraction line list (CuKα), based on a cell relaxed with GGA-PBE.

Peak list (10 most intense, 5 to 70 degrees two-theta, in order of rising 2θ)
- 2θ 6.70, I = 100.0, hkl 0 0 1
- 2θ 13.43, I = 23.3, hkl 0 0 2
- 2θ 16.21, I = 11.5, hkl 1 0 0
- 2θ 16.85, I = 9.5, hkl 1 0 -1
- 2θ 17.48, I = 8.8, hkl 1 -1 0
- 2θ 18.75, I = 11.6, hkl 1 -1 1
- 2θ 24.53, I = 12.2, hkl 1 0 -3
- 2θ 27.03, I = 10.1, hkl 0 0 4
- 2θ 27.43, I = 27.9, hkl 0 2 0
- 2θ 32.29, I = 8.2, hkl -1 1 4

Cell and atoms:
```
data_Bi2S13
_chemical_formula_sum 'Bi2 S13'
_cell_length_a 5.7971
_cell_length_b 6.9021
_cell_length_c 13.3360
_cell_angle_alpha 95.64
_cell_angle_beta 94.23
_cell_angle_gamma 108.41
_space_group_name_H-M_alt 'P 1'
_space_group_IT_number 1
_space_group_name_Hall 'P 1'
loop_
_atom_site_label
_atom_site_type_symbol
_atom_site_fract_x
_atom_site_fract_y
_atom_site_fract_z
Bi1 Bi 0.0000 0.0000 0.0000
Bi2 Bi 0.1281 0.4633 0.9755
S1 S 0.1044 0.1697 0.2642
S2 S 0.2047 0.8858 0.5840
S3 S 0.2512 0.4799 0.3250
S4 S 0.3082 0.4555 0.7961
S5 S 0.4287 0.9834 0.4591
S6 S 0.5371 0.8288 0.1630
S7 S 0.5481 0.5606 0.0845
S8 S 0.5859 0.0412 0.0587
S9 S 0.6794 0.5420 0.8119
S10 S 0.7709 0.0812 0.5223
S11 S 0.8353 0.8562 0.8111
S12 S 0.8694 0.7969 0.5150
S13 S 0.9399 0.3779 0.2173
```



No. 5
BiS: theoretical powder diffraction line list (CuKα), based on a cell relaxed with GGA-PBE.

Peak list (10 most intense, 5 to 70 degrees two-theta, in order of rising 2θ)
- 2θ 21.34, I = 18.8, hkl 1 0 0
- 2θ 22.60, I = 73.3, hkl 1 0 1
- 2θ 26.06, I = 100.0, hkl 1 0 2
- 2θ 29.82, I = 34.0, hkl 0 0 4
- 2θ 31.02, I = 34.1, hkl 1 0 3
- 2θ 36.96, I = 25.9, hkl 1 0 4
- 2θ 37.40, I = 72.2, hkl 1 1 0
- 2θ 46.15, I = 23.4, hkl 2 0 2
- 2θ 48.55, I = 53.5, hkl 1 1 4
- 2θ 60.84, I = 21.3, hkl 2 1 2

Cell and atoms:
```
data_BiS
_chemical_formula_sum 'Bi4 S4'
_cell_length_a 4.8089
_cell_length_b 4.8089
_cell_length_c 11.9853
_cell_angle_alpha 90.00
_cell_angle_beta 90.00
_cell_angle_gamma 120.00
_space_group_name_H-M_alt 'P 63 m c'
_space_group_IT_number 186
_space_group_name_Hall 'P 6c -2c'
loop_
_atom_site_label
_atom_site_type_symbol
_atom_site_fract_x
_atom_site_fract_y
_atom_site_fract_z
Bi1 Bi 0.0000 0.0000 0.0000
Bi2 Bi 0.3333 0.6667 0.2885
S1 S 0.0000 0.0000 0.2434
S2 S 0.3333 0.6667 0.0370
```



No. 6
Bi8S3: theoretical powder diffraction line list (CuKα), based on a cell relaxed with GGA-PBE.

Peak list (10 most intense, 5 to 70 degrees two-theta, in order of rising 2θ)
- 2θ 20.74, I = 12.7, hkl 0 0 15
- 2θ 24.29, I = 16.1, hkl 1 0 4
- 2θ 26.15, I = 21.8, hkl 0 1 8
- 2θ 28.21, I = 100.0, hkl 0 1 11
- 2θ 35.70, I = 19.2, hkl 1 0 19
- 2θ 39.04, I = 19.4, hkl 1 0 22
- 2θ 41.55, I = 45.8, hkl 1 1 0
- 2θ 46.88, I = 9.5, hkl 1 1 15
- 2θ 50.98, I = 20.1, hkl 2 0 11
- 2θ 67.80, I = 17.5, hkl 1 2 11

Cell and atoms:
```
data_Bi8S3
_chemical_formula_sum 'Bi24 S9'
_cell_length_a 4.3465
_cell_length_b 4.3465
_cell_length_c 64.2353
_cell_angle_alpha 90.00
_cell_angle_beta 90.00
_cell_angle_gamma 120.00
_space_group_name_H-M_alt 'R -3 m'
_space_group_IT_number 166
_space_group_name_Hall '-R 3 2"'
loop_
_atom_site_label
_atom_site_type_symbol
_atom_site_fract_x
_atom_site_fract_y
_atom_site_fract_z
Bi1 Bi 0.0000 0.0000 0.0558
Bi2 Bi 0.0000 0.0000 0.1405
Bi3 Bi 0.0000 0.0000 0.3199
Bi4 Bi 0.0000 0.0000 0.4162
S1 S 0.0000 0.0000 0.2135
S2 S 0.0000 0.0000 0.5000
```